Starting from a PBE-relaxed structure, the powder XRD pattern of UAs12Rh4 was calculated for Cu Kα.

Atomic structure:
```
data_UAs12Rh4
_space_group_name_H-M_alt 'P 1'
_space_group_IT_number 1
_space_group_name_Hall 'P 1'
_cell_length_a 7.4963
_cell_length_b 7.4963
_cell_length_c 7.4963
_cell_angle_alpha 109.47
_cell_angle_beta 109.47
_cell_angle_gamma 109.47
loop_
_atom_site_label
_atom_site_fract_x
_atom_site_fract_y
_atom_site_fract_z
U1 0.0000 0.0000 0.0000
As1 0.1441 0.3401 0.4842
As2 0.1441 0.6599 0.8040
As3 0.1960 0.8559 0.3401
As4 0.3401 0.1960 0.8559
As5 0.3401 0.4842 0.1441
As6 0.4842 0.1441 0.3401
As7 0.5158 0.8559 0.6599
As8 0.6599 0.5158 0.8559
As9 0.6599 0.8040 0.1441
As10 0.8040 0.1441 0.6599
As11 0.8559 0.3401 0.1960
As12 0.8559 0.6599 0.5158
Rh1 0.0000 0.0000 0.5000
Rh2 0.0000 0.5000 0.0000
Rh3 0.5000 0.0000 0.0000
Rh4 0.5000 0.5000 0.5000
```

Top 10 peaks for 2θ from 5° to 70°, sorted by position:
2theta, I (rel.)
14.47, 19
29.18, 40
32.72, 100
38.93, 62
41.74, 8
46.94, 20
51.74, 50
54.02, 39
62.57, 8
68.57, 16